Diffraction record for MgVPO5. The powder X-ray diffraction pattern is calculated, not measured: it uses a cell relaxed with PBE+U and Cu Kα (weighted mean of Kα1 and Kα2).

Cell and atoms:
a b c (Å): 5.289 7.115 10.936
angles (deg): 102.15 99.36 106.97
Space group P1 (No. 1)
Asymmetric unit:
1 Mg 0.000 0.000 0.000 (multiplicity 1)
2 Mg 0.116 0.111 0.619 (multiplicity 1)
3 Mg 0.500 0.499 0.500 (multiplicity 1)
4 Mg 0.616 0.611 0.119 (multiplicity 1)
5 V 0.058 0.055 0.310 (multiplicity 1)
6 V 0.058 0.555 0.310 (multiplicity 1)
7 V 0.558 0.055 0.810 (multiplicity 1)
8 V 0.558 0.555 0.810 (multiplicity 1)
9 P 0.040 0.624 0.619 (multiplicity 1)
10 P 0.076 0.486 0.001 (multiplicity 1)
11 P 0.540 0.125 0.119 (multiplicity 1)
12 P 0.577 0.986 0.501 (multiplicity 1)
13 O 0.179 0.858 0.676 (multiplicity 1)
14 O 0.197 0.348 0.352 (multiplicity 1)
15 O 0.220 0.539 0.147 (multiplicity 1)
16 O 0.251 0.513 0.637 (multiplicity 1)
17 O 0.290 0.039 0.174 (multiplicity 1)
18 O 0.325 0.572 0.946 (multiplicity 1)
19 O 0.365 0.098 0.482 (multiplicity 1)
20 O 0.396 0.073 0.973 (multiplicity 1)
21 O 0.419 0.263 0.768 (multiplicity 1)
22 O 0.437 0.753 0.444 (multiplicity 1)
23 O 0.679 0.358 0.176 (multiplicity 1)
24 O 0.697 0.848 0.852 (multiplicity 1)
25 O 0.720 0.039 0.647 (multiplicity 1)
26 O 0.751 0.013 0.137 (multiplicity 1)
27 O 0.791 0.539 0.674 (multiplicity 1)
28 O 0.826 0.071 0.446 (multiplicity 1)
29 O 0.865 0.598 0.982 (multiplicity 1)
30 O 0.895 0.572 0.473 (multiplicity 1)
31 O 0.919 0.763 0.267 (multiplicity 1)
32 O 0.937 0.253 0.943 (multiplicity 1)

Peak list (10 most intense, 5 to 70 degrees two-theta, low angle first)
18.03°, I = 40, (1 0 -1)
27.25°, I = 97, (0 2 0)
27.54°, I = 51, (1 -2 1)
27.75°, I = 100, (1 0 -3)
35.12°, I = 48, (1 0 3)
44.29°, I = 30, (2 0 -4)
51.47°, I = 21, (1 -4 1)
52.94°, I = 32, (0 0 6)
53.16°, I = 16, (1 2 3)
54.46°, I = 15, (2 2 -4)